Simulated powder diffraction line list of UCu2P2O10 for Cu Kα (weighted mean of Kα1 and Kα2), from a GGA-PBE-relaxed structure.
Neutral-atom scattering factors, no anomalous dispersion.

Crystal structure
a b c (Å): 7.739 7.739 5.089
angles (deg): 105.87 105.87 44.12
Fractional coordinates of all 15 atoms:
U 0.000 0.000 0.000
Cu 0.000 0.500 0.500
Cu 0.500 0.000 0.500
P 0.352 0.352 0.083
P 0.648 0.648 0.917
O 0.093 0.093 0.336
O 0.195 0.632 0.132
O 0.281 0.281 0.780
O 0.288 0.288 0.285
O 0.368 0.805 0.868
O 0.632 0.195 0.132
O 0.712 0.712 0.715
O 0.719 0.719 0.220
O 0.805 0.368 0.868
O 0.907 0.907 0.664

Top 10 peaks for 2θ = 10–90°, by intensity:
two_theta, I/Imax
24.79, 100
19.01, 87
27.23, 85
16.57, 84
25.40, 79
36.00, 67
23.26, 52
41.42, 46
26.00, 36
33.49, 33

Simulated powder diffraction line list of U2CuP2O20 for Cu Kα (weighted mean of Kα1 and Kα2), from a GGA-PBE-relaxed structure.
Neutral-atom scattering factors, no anomalous dispersion.

Crystal structure
a b c (Å): 7.010 7.010 9.082
angles (deg): 90.00 90.00 90.00
Fractional coordinates of all 25 atoms:
U 0.000 0.000 0.000
U 0.500 0.500 0.214
Cu 0.000 0.000 0.500
P 0.000 0.500 0.104
P 0.500 0.000 0.104
O 0.000 0.000 0.201
O 0.000 0.000 0.798
O 0.000 0.253 0.510
O 0.000 0.322 0.004
O 0.000 0.678 0.004
O 0.000 0.747 0.510
O 0.178 0.500 0.205
O 0.253 0.000 0.510
O 0.322 0.000 0.004
O 0.354 0.500 0.707
O 0.500 0.178 0.205
O 0.500 0.354 0.707
O 0.500 0.500 0.014
O 0.500 0.500 0.413
O 0.500 0.646 0.707
O 0.500 0.822 0.205
O 0.646 0.500 0.707
O 0.678 0.000 0.004
O 0.747 0.000 0.510
O 0.822 0.500 0.205

Top 10 peaks for 2θ = 10–90°, by intensity:
two_theta, I/Imax
23.34, 100
17.89, 71
25.41, 62
15.97, 35
34.77, 33
27.27, 30
43.56, 22
40.70, 22
51.09, 17
43.86, 16